For TbPa2SiN5, the GGA-PBE geometry in Alexandria gives the theoretical X-ray diffraction stick pattern in this record (Cu Kα (λ = 1.5418 Å)).
Peak positions follow from Bragg's law for the DFT cell and can differ from measured ones.

Main lines, low angle first (2θ = 15–90°):
(hkl), 2θ (°), d_spacing, intensity
0 0 1, 16.1, 5.494, 46
1 1 1, 25.1, 3.547, 36
2 1 0, 30.4, 2.937, 43
2 0 1, 31.7, 2.819, 100
0 0 2, 32.6, 2.747, 42
2 1 1, 34.6, 2.590, 85
2 2 0, 38.8, 2.322, 20
3 1 0, 43.6, 2.077, 29
2 1 2, 45.2, 2.006, 50
3 1 2, 55.5, 1.657, 21
4 1 1, 60.5, 1.530, 26
3 3 1, 62.3, 1.490, 23

```
18
Lattice="6.5675 0.0000 0.0000 0.0000 6.5675 0.0000 0.0000 0.0000 5.4938" Properties=species:S:1:pos:R:3 pbc="T T T"
Tb 0.0000 0.0000 0.0000
Tb 3.2837 3.2837 0.0000
Pa 1.1618 2.1219 2.7469
Pa 2.1219 5.4057 2.7469
Pa 4.4456 1.1618 2.7469
Pa 5.4057 4.4456 2.7469
Si 0.0000 3.2837 0.0000
Si 3.2837 0.0000 0.0000
N 0.0000 0.0000 2.7469
N 0.9205 4.2042 1.2892
N 0.9205 4.2042 4.2046
N 2.3633 0.9205 1.2892
N 2.3633 0.9205 4.2046
N 3.2837 3.2837 2.7469
N 4.2042 5.6470 1.2892
N 4.2042 5.6470 4.2046
N 5.6470 2.3633 1.2892
N 5.6470 2.3633 4.2046
```